1.
For FeCo2N2, a cell relaxed with PBE gives the simulated powder XRD pattern in this record (a wavelength of 1.5418 Å).
Peak positions follow from Bragg's law for the DFT cell and can differ from measured ones.

The 6 most intense peaks (10° ≤ 2θ ≤ 80°), by intensity:
2theta	I (rel.)
39.81	100
46.07	56
67.72	30
46.74	26
67.20	16
30.67	2

Cell: 2.7862 2.7862 11.6609 Å, 90.00 90.00 90.00°
Fractional coordinates of all 10 atoms:
Fe: 0.0000 0.0000 0.0000
Fe: 0.5000 0.5000 0.5000
Co: 0.0000 0.0000 0.3374
Co: 0.0000 0.0000 0.6626
Co: 0.5000 0.5000 0.1626
Co: 0.5000 0.5000 0.8374
N: 0.0000 0.0000 0.1597
N: 0.0000 0.0000 0.8403
N: 0.5000 0.5000 0.3403
N: 0.5000 0.5000 0.6597

=====

2.
For Cs2YCuBr6, a cell relaxed with PBE gives the simulated powder XRD pattern in this record (a wavelength of 1.5418 Å).
Peak positions follow from Bragg's law for the DFT cell and can differ from measured ones.

The 6 most intense peaks (10° ≤ 2θ ≤ 80°), by intensity:
2theta	I (rel.)
32.28	100
27.86	83
46.30	71
22.67	39
54.90	36
76.87	31

Cell: 7.8439 7.8439 7.8439 Å, 60.00 60.00 60.00°
Fractional coordinates of all 10 atoms:
Cs: 0.2500 0.2500 0.2500
Cs: 0.7500 0.7500 0.7500
Y: 0.0000 0.0000 0.0000
Cu: 0.5000 0.5000 0.5000
Br: 0.2538 0.2538 0.7462
Br: 0.2538 0.7462 0.2538
Br: 0.2538 0.7462 0.7462
Br: 0.7462 0.2538 0.2538
Br: 0.7462 0.2538 0.7462
Br: 0.7462 0.7462 0.2538

=====

3.
For LiHf2Tc, a cell relaxed with PBE gives the simulated powder XRD pattern in this record (a wavelength of 1.5418 Å).
Peak positions follow from Bragg's law for the DFT cell and can differ from measured ones.

The 6 most intense peaks (10° ≤ 2θ ≤ 80°), by intensity:
2theta	I (rel.)
38.84	100
27.20	36
70.33	35
56.10	17
63.43	14
23.50	11

Cell: 6.5579 6.5579 6.5579 Å, 90.00 90.00 90.00°
Fractional coordinates of all 16 atoms:
Li: 0.0000 0.0000 0.0000
Li: 0.0000 0.5000 0.5000
Li: 0.5000 0.0000 0.5000
Li: 0.5000 0.5000 0.0000
Hf: 0.2500 0.2500 0.2500
Hf: 0.2500 0.2500 0.7500
Hf: 0.2500 0.7500 0.2500
Hf: 0.2500 0.7500 0.7500
Hf: 0.7500 0.2500 0.2500
Hf: 0.7500 0.2500 0.7500
Hf: 0.7500 0.7500 0.2500
Hf: 0.7500 0.7500 0.7500
Tc: 0.0000 0.0000 0.5000
Tc: 0.0000 0.5000 0.0000
Tc: 0.5000 0.0000 0.0000
Tc: 0.5000 0.5000 0.5000

=====

4.
For CsSb2F7, a cell relaxed with PBE gives the simulated powder XRD pattern in this record (a wavelength of 1.5418 Å).
Peak positions follow from Bragg's law for the DFT cell and can differ from measured ones.

The 6 most intense peaks (10° ≤ 2θ ≤ 80°), by intensity:
2theta	I (rel.)
23.28	100
22.96	30
40.52	20
25.55	18
43.68	18
34.61	13

Cell: 9.3256 9.3256 6.9741 Å, 90.13 90.13 49.09°
Fractional coordinates of all 20 atoms:
Cs: 0.2264 0.7736 0.7500
Cs: 0.7736 0.2264 0.2500
Sb: 0.0903 0.5539 0.2149
Sb: 0.4461 0.9097 0.2851
Sb: 0.5539 0.0903 0.7149
Sb: 0.9097 0.4461 0.7851
F: 0.0000 0.5000 0.5000
F: 0.0022 0.6713 0.9491
F: 0.0646 0.7679 0.3127
F: 0.2321 0.9354 0.1873
F: 0.3287 0.9978 0.5509
F: 0.3589 0.4216 0.1484
F: 0.4216 0.3589 0.6484
F: 0.5000 0.0000 0.0000
F: 0.5784 0.6411 0.3516
F: 0.6411 0.5784 0.8516
F: 0.6713 0.0022 0.4491
F: 0.7679 0.0646 0.8127
F: 0.9354 0.2321 0.6873
F: 0.9978 0.3287 0.0509

=====

5.
For Sm3InSe6, a cell relaxed with PBE gives the simulated powder XRD pattern in this record (a wavelength of 1.5418 Å).
Peak positions follow from Bragg's law for the DFT cell and can differ from measured ones.

The 6 most intense peaks (10° ≤ 2θ ≤ 80°), by intensity:
2theta	I (rel.)
32.59	100
44.18	87
33.57	78
31.62	68
30.47	66
23.75	51

Cell: 14.3222 17.5862 4.1009 Å, 90.00 90.00 90.00°
Fractional coordinates of all 40 atoms:
Sm: 0.0407 0.2242 0.0000
Sm: 0.1868 0.6457 0.0000
Sm: 0.2490 0.8941 0.5000
Sm: 0.2510 0.3941 0.0000
Sm: 0.3132 0.1457 0.5000
Sm: 0.4593 0.7242 0.5000
Sm: 0.5407 0.2758 0.5000
Sm: 0.6868 0.8543 0.5000
Sm: 0.7490 0.6059 0.0000
Sm: 0.7510 0.1059 0.5000
Sm: 0.8132 0.3543 0.0000
Sm: 0.9593 0.7758 0.0000
In: 0.0000 0.0000 0.5000
In: 0.0000 0.5000 0.5000
In: 0.5000 0.0000 0.0000
In: 0.5000 0.5000 0.0000
Se: 0.0228 0.3956 0.0000
Se: 0.0952 0.9127 0.0000
Se: 0.1121 0.1170 0.5000
Se: 0.1124 0.7483 0.5000
Se: 0.1826 0.2852 0.5000
Se: 0.1915 0.5199 0.5000
Se: 0.3085 0.0199 0.0000
Se: 0.3174 0.7852 0.0000
Se: 0.3876 0.2483 0.0000
Se: 0.3879 0.6170 0.0000
Se: 0.4048 0.4127 0.5000
Se: 0.4772 0.8956 0.5000
Se: 0.5228 0.1044 0.5000
Se: 0.5952 0.5873 0.5000
Se: 0.6121 0.3830 0.0000
Se: 0.6124 0.7517 0.0000
Se: 0.6826 0.2148 0.0000
Se: 0.6915 0.9801 0.0000
Se: 0.8085 0.4801 0.5000
Se: 0.8174 0.7148 0.5000
Se: 0.8876 0.2517 0.5000
Se: 0.8879 0.8830 0.5000
Se: 0.9048 0.0873 0.0000
Se: 0.9772 0.6044 0.0000

=====

6.
For Eu3B2O6F3, a cell relaxed with PBE gives the simulated powder XRD pattern in this record (a wavelength of 1.5418 Å).
Peak positions follow from Bragg's law for the DFT cell and can differ from measured ones.

The 6 most intense peaks (10° ≤ 2θ ≤ 80°), by intensity:
2theta	I (rel.)
29.93	100
24.83	99
21.28	72
26.12	65
27.97	56
31.34	39

Cell: 7.2777 7.2777 8.4048 Å, 95.77 95.77 52.11°
Fractional coordinates of all 28 atoms:
Eu: 0.1064 0.8936 0.7500
Eu: 0.2189 0.4379 0.3198
Eu: 0.4379 0.2189 0.8198
Eu: 0.5621 0.7811 0.1802
Eu: 0.7811 0.5621 0.6802
Eu: 0.8936 0.1064 0.2500
B: 0.0994 0.2666 0.0204
B: 0.2666 0.0994 0.5204
B: 0.7335 0.9006 0.4796
B: 0.9006 0.7335 0.9796
O: 0.0622 0.2429 0.8580
O: 0.0740 0.6228 0.8718
O: 0.2030 0.3179 0.5762
O: 0.2429 0.0622 0.3580
O: 0.3179 0.2030 0.0762
O: 0.3772 0.9260 0.6282
O: 0.6228 0.0740 0.3718
O: 0.6821 0.7970 0.9238
O: 0.7571 0.9378 0.6420
O: 0.7970 0.6821 0.4238
O: 0.9260 0.3772 0.1282
O: 0.9378 0.7571 0.1420
F: 0.1248 0.7717 0.4580
F: 0.2283 0.8752 0.0420
F: 0.4800 0.5200 0.7500
F: 0.5200 0.4800 0.2500
F: 0.7717 0.1248 0.9580
F: 0.8752 0.2283 0.5420